Entry 1:
Starting from a DFT-relaxed cell (PBE, Alexandria), the powder diffractogram of CrP3Se9 was computed for Cu Kα.
Intensities are scaled so that the largest is 100.

Crystal structure
Cell lengths 17.3240, 8.2609, 12.3007 Å; angles 90.00, 128.87, 90.00 degrees
Space group Cc (No. 9)
Inequivalent atoms, fractional coordinates:
1 Cr 0.0000 0.2499 0.0000 [4 per cell]
2 P 0.1395 0.0917 0.8315 [4 per cell]
3 P 0.2415 0.4337 0.7352 [4 per cell]
4 P 0.3656 0.0829 0.6787 [4 per cell]
5 Se 0.0082 0.0919 0.8278 [4 per cell]
6 Se 0.1178 0.3462 0.7437 [4 per cell]
7 Se 0.1527 0.1155 0.2220 [4 per cell]
8 Se 0.1551 0.3815 0.0638 [4 per cell]
9 Se 0.2389 0.2755 0.5754 [4 per cell]
10 Se 0.2978 0.1390 0.0314 [4 per cell]
11 Se 0.3732 0.4846 0.4427 [4 per cell]
12 Se 0.4026 0.0077 0.8793 [4 per cell]
13 Se 0.4964 0.1877 0.7019 [4 per cell]

The 10 most intense peaks (15° ≤ 2θ ≤ 90°), by angle:
(1 1 1), 4.953 Å, 2θ = 17.91°, I = 55; (5 1 -2), 3.186 Å, 2θ = 28.01°, I = 68; (0 2 2), 3.128 Å, 2θ = 28.54°, I = 35; (2 0 2), 3.094 Å, 2θ = 28.85°, I = 100; (2 2 1), 3.002 Å, 2θ = 29.76°, I = 46; (2 0 -4), 2.903 Å, 2θ = 30.80°, I = 50; (2 2 -3), 2.882 Å, 2θ = 31.03°, I = 56; (3 1 -4), 2.863 Å, 2θ = 31.24°, I = 53; (4 2 0), 2.612 Å, 2θ = 34.33°, I = 29; (7 1 -5), 2.149 Å, 2θ = 42.04°, I = 31



Entry 2:
Starting from a DFT-relaxed cell (PBE, Alexandria), the powder diffractogram of Sr3CrP3 was computed for Cu Kα.
Intensities are scaled so that the largest is 100.

Crystal structure
Cell lengths 18.7899, 6.4509, 12.3624 Å; angles 90.00, 90.00, 90.00 degrees
Space group Cmce (No. 64)
Inequivalent atoms, fractional coordinates:
1 Sr 0.0000 0.1627 0.1579 [8 per cell]
2 Sr 0.1778 0.1866 0.8688 [16 per cell]
3 Cr 0.0800 0.0000 0.5000 [8 per cell]
4 P 0.0000 0.2112 0.4055 [8 per cell]
5 P 0.1561 0.1914 0.6170 [16 per cell]

The 10 most intense peaks (15° ≤ 2θ ≤ 90°), by angle:
(3 1 2), 3.635 Å, 2θ = 24.49°, I = 97; (1 1 3), 3.415 Å, 2θ = 26.09°, I = 49; (0 2 0), 3.225 Å, 2θ = 27.66°, I = 31; (6 0 0), 3.134 Å, 2θ = 28.48°, I = 100; (0 0 4), 3.091 Å, 2θ = 28.89°, I = 57; (2 2 1), 2.962 Å, 2θ = 30.17°, I = 59; (4 2 1), 2.600 Å, 2θ = 34.50°, I = 27; (6 2 0), 2.247 Å, 2θ = 40.13°, I = 50; (0 2 4), 2.232 Å, 2θ = 40.42°, I = 46; (6 0 4), 2.200 Å, 2θ = 41.03°, I = 77



Entry 3:
Starting from a DFT-relaxed cell (PBE, Alexandria), the powder diffractogram of Cr2TcP was computed for Cu Kα.
Intensities are scaled so that the largest is 100.

Crystal structure
Cell lengths 2.9746, 3.9803, 8.1824 Å; angles 90.00, 90.00, 90.00 degrees
Space group Imm2 (No. 44)
Inequivalent atoms, fractional coordinates:
1 Cr 0.0000 0.0000 0.0000 [2 per cell]
2 Cr 0.0000 0.5000 0.2421 [2 per cell]
3 Tc 0.0000 0.5000 0.7641 [2 per cell]
4 P 0.0000 0.0000 0.5110 [2 per cell]

The 10 most intense peaks (15° ≤ 2θ ≤ 90°), by angle:
(0 0 2), 4.091 Å, 2θ = 21.72°, I = 14; (0 1 1), 3.579 Å, 2θ = 24.88°, I = 9; (1 0 1), 2.796 Å, 2θ = 32.01°, I = 8; (1 1 2), 2.059 Å, 2θ = 43.98°, I = 100; (0 0 4), 2.046 Å, 2θ = 44.28°, I = 24; (0 2 0), 1.990 Å, 2θ = 45.58°, I = 23; (2 0 0), 1.487 Å, 2θ = 62.44°, I = 8; (0 2 4), 1.426 Å, 2θ = 65.43°, I = 14; (1 1 6), 1.184 Å, 2θ = 81.29°, I = 13; (1 3 2), 1.162 Å, 2θ = 83.14°, I = 14



Entry 4:
Starting from a DFT-relaxed cell (PBE, Alexandria), the powder diffractogram of CrTcP4 was computed for Cu Kα.
Intensities are scaled so that the largest is 100.

Crystal structure
Cell lengths 6.9310, 6.9310, 6.9310 Å; angles 90.00, 90.00, 90.00 degrees
Space group F-43m (No. 216)
Inequivalent atoms, fractional coordinates:
1 Cr 0.0000 0.0000 0.0000 [4 per cell]
2 Tc 0.2500 0.2500 0.2500 [4 per cell]
3 P 0.1247 0.1247 0.6247 [16 per cell]

The 10 most intense peaks (15° ≤ 2θ ≤ 90°), by angle:
(1 1 1), 4.002 Å, 2θ = 22.22°, I = 21; (2 0 0), 3.466 Å, 2θ = 25.71°, I = 7; (2 2 0), 2.450 Å, 2θ = 36.67°, I = 65; (3 1 1), 2.090 Å, 2θ = 43.30°, I = 100; (2 2 2), 2.001 Å, 2θ = 45.33°, I = 16; (3 3 1), 1.590 Å, 2θ = 58.00°, I = 5; (4 2 2), 1.415 Å, 2θ = 66.04°, I = 21; (3 3 3), 1.334 Å, 2θ = 70.61°, I = 29; (4 4 0), 1.225 Å, 2θ = 77.98°, I = 21; (6 2 0), 1.096 Å, 2θ = 89.41°, I = 9



Entry 5:
Starting from a DFT-relaxed cell (PBE, Alexandria), the powder diffractogram of CrTc5P3 was computed for Cu Kα.
Intensities are scaled so that the largest is 100.

Crystal structure
Cell lengths 7.0549, 4.0585, 8.4029 Å; angles 90.00, 90.06, 90.00 degrees
Space group P2/m (No. 10)
Inequivalent atoms, fractional coordinates:
1 Cr 0.1649 0.0000 0.2412 [2 per cell]
2 Tc 0.1605 0.0000 0.5748 [2 per cell]
3 Tc 0.1642 0.0000 0.9099 [2 per cell]
4 Tc 0.3332 0.5000 0.0793 [2 per cell]
5 Tc 0.3332 0.5000 0.4091 [2 per cell]
6 Tc 0.3329 0.5000 0.7433 [2 per cell]
7 P 0.0000 0.5000 0.0000 [1 per cell]
8 P 0.0084 0.5000 0.3173 [2 per cell]
9 P 0.4923 0.0000 0.1732 [2 per cell]
10 P 0.5000 0.0000 0.5000 [1 per cell]

The 10 most intense peaks (15° ≤ 2θ ≤ 90°), by angle:
(1 1 0), 3.521 Å, 2θ = 25.30°, I = 28; (2 0 -3), 2.192 Å, 2θ = 41.18°, I = 100; (3 1 0), 2.035 Å, 2θ = 44.53°, I = 48; (0 2 0), 2.029 Å, 2θ = 44.65°, I = 24; (4 0 -3), 1.492 Å, 2θ = 62.20°, I = 9; (2 2 -3), 1.490 Å, 2θ = 62.33°, I = 19; (1 1 6), 1.301 Å, 2θ = 72.66°, I = 10; (5 1 -3), 1.203 Å, 2θ = 79.69°, I = 14; (1 3 -3), 1.200 Å, 2θ = 79.91°, I = 9; (3 3 0), 1.173 Å, 2θ = 82.21°, I = 8



Entry 6:
Starting from a DFT-relaxed cell (PBE, Alexandria), the powder diffractogram of TlCrP2 was computed for Cu Kα.
Intensities are scaled so that the largest is 100.

Crystal structure
Cell lengths 3.5689, 3.4538, 6.2541 Å; angles 90.00, 105.39, 90.00 degrees
Space group Pm (No. 6)
Inequivalent atoms, fractional coordinates:
1 Tl 0.0000 0.0000 0.0000 [1 per cell]
2 Cr 0.3790 0.5000 0.7316 [1 per cell]
3 P 0.3453 0.0000 0.4585 [1 per cell]
4 P 0.7718 0.5000 0.4691 [1 per cell]

The 10 most intense peaks (15° ≤ 2θ ≤ 90°), by angle:
(1 0 0), 3.447 Å, 2θ = 25.85°, I = 67; (1 0 -1), 3.402 Å, 2θ = 26.19°, I = 51; (0 0 2), 3.015 Å, 2θ = 29.63°, I = 46; (0 1 1), 2.997 Å, 2θ = 29.81°, I = 100; (1 0 1), 2.696 Å, 2θ = 33.23°, I = 54; (1 0 -2), 2.642 Å, 2θ = 33.94°, I = 44; (1 1 0), 2.438 Å, 2θ = 36.87°, I = 59; (1 1 -1), 2.424 Å, 2θ = 37.09°, I = 86; (0 1 2), 2.271 Å, 2θ = 39.68°, I = 64; (1 1 1), 2.125 Å, 2θ = 42.54°, I = 31



Repeat the first record exactly.
Starting from a DFT-relaxed cell (PBE, Alexandria), the powder diffractogram of CrP3Se9 was computed for Cu Kα.
Intensities are scaled so that the largest is 100.

Crystal structure
Cell lengths 17.3240, 8.2609, 12.3007 Å; angles 90.00, 128.87, 90.00 degrees
Space group Cc (No. 9)
Inequivalent atoms, fractional coordinates:
1 Cr 0.0000 0.2499 0.0000 [4 per cell]
2 P 0.1395 0.0917 0.8315 [4 per cell]
3 P 0.2415 0.4337 0.7352 [4 per cell]
4 P 0.3656 0.0829 0.6787 [4 per cell]
5 Se 0.0082 0.0919 0.8278 [4 per cell]
6 Se 0.1178 0.3462 0.7437 [4 per cell]
7 Se 0.1527 0.1155 0.2220 [4 per cell]
8 Se 0.1551 0.3815 0.0638 [4 per cell]
9 Se 0.2389 0.2755 0.5754 [4 per cell]
10 Se 0.2978 0.1390 0.0314 [4 per cell]
11 Se 0.3732 0.4846 0.4427 [4 per cell]
12 Se 0.4026 0.0077 0.8793 [4 per cell]
13 Se 0.4964 0.1877 0.7019 [4 per cell]

The 10 most intense peaks (15° ≤ 2θ ≤ 90°), by angle:
(1 1 1), 4.953 Å, 2θ = 17.91°, I = 55; (5 1 -2), 3.186 Å, 2θ = 28.01°, I = 68; (0 2 2), 3.128 Å, 2θ = 28.54°, I = 35; (2 0 2), 3.094 Å, 2θ = 28.85°, I = 100; (2 2 1), 3.002 Å, 2θ = 29.76°, I = 46; (2 0 -4), 2.903 Å, 2θ = 30.80°, I = 50; (2 2 -3), 2.882 Å, 2θ = 31.03°, I = 56; (3 1 -4), 2.863 Å, 2θ = 31.24°, I = 53; (4 2 0), 2.612 Å, 2θ = 34.33°, I = 29; (7 1 -5), 2.149 Å, 2θ = 42.04°, I = 31